(1)
Structure and calculated powder diffractogram of Na3BS3 (DFT lattice parameters and positions (GGA-PBE); Cu Kα X-rays).
Intensities are scaled so that the largest is 100.

Main lines, most intense first (10° ≤ 2θ ≤ 80°):
2θ (°)	d/Å	I (rel.)
28.8	3.101	100
35.7	2.518	97
35.7	2.515	95
36.1	2.489	85
29.3	3.051	57
46.8	1.943	50
48.8	1.865	39
41.4	2.180	37
15.7	5.639	28
69.9	1.345	27
45.8	1.982	27
25.1	3.551	27

Structural model:
```
Na3BS3
1.0
5.947 -3.343 0.000
5.947 3.343 0.000
-3.977 0.000 7.458
Na B S
6 2 6
direct
0.000 0.500 0.500
0.122 0.686 0.996
0.314 0.878 0.504
0.500 0.000 0.000
0.686 0.122 0.496
0.878 0.314 0.004
0.422 0.578 0.750
0.578 0.422 0.250
0.143 0.857 0.750
0.307 0.423 0.247
0.423 0.307 0.747
0.577 0.693 0.253
0.693 0.577 0.753
0.857 0.143 0.250
```

***

(2)
Structure and calculated powder diffractogram of LaSnSe4 (DFT lattice parameters and positions (GGA-PBE); Cu Kα X-rays).
Intensities are scaled so that the largest is 100.

Main lines, most intense first (10° ≤ 2θ ≤ 80°):
2θ (°)	d/Å	I (rel.)
21.7	4.094	100
33.6	2.666	82
36.4	2.466	53
27.7	3.218	47
37.3	2.413	45
39.6	2.273	30
26.9	3.312	28
45.9	1.978	24
49.2	1.850	20
44.3	2.045	20
42.5	2.127	18
24.1	3.687	17

Structural model:
```
LaSnSe4
1.0
7.459 -3.683 0.000
7.459 3.683 0.000
-3.990 0.000 6.626
La Sn Se
2 2 8
direct
0.167 0.833 0.750
0.833 0.167 0.250
0.000 0.500 0.000
0.500 0.000 0.500
0.148 0.166 0.154
0.166 0.148 0.654
0.375 0.482 0.276
0.482 0.375 0.776
0.518 0.625 0.224
0.625 0.518 0.724
0.834 0.852 0.346
0.852 0.834 0.846
```

***

(3)
Structure and calculated powder diffractogram of Rb3Hg4F12 (DFT lattice parameters and positions (GGA-PBE); Cu Kα X-rays).
Intensities are scaled so that the largest is 100.

Main lines, most intense first (10° ≤ 2θ ≤ 80°):
2θ (°)	d/Å	I (rel.)
27.8	3.212	100
49.1	1.854	45
19.5	4.542	45
39.7	2.271	33
78.8	1.214	24
44.6	2.031	22
57.4	1.606	21
64.9	1.436	19
61.2	1.514	11
72.0	1.311	7
13.8	6.424	6
75.5	1.260	4

Structural model:
```
Rb3Hg4F12
1.0
-4.542 4.542 4.542
4.542 -4.542 4.542
4.542 4.542 -4.542
Rb Hg F
3 4 12
direct
0.000 0.500 0.500
0.500 0.000 0.500
0.500 0.500 0.000
0.000 0.000 0.500
0.000 0.500 0.000
0.500 0.000 0.000
0.500 0.500 0.500
0.037 0.281 0.756
0.244 0.525 0.281
0.244 0.963 0.719
0.281 0.244 0.525
0.281 0.756 0.037
0.475 0.719 0.756
0.525 0.281 0.244
0.719 0.244 0.963
0.719 0.756 0.475
0.756 0.037 0.281
0.756 0.475 0.719
0.963 0.719 0.244
```

***

What did the first record say?
Structure and calculated powder diffractogram of Na3BS3 (DFT lattice parameters and positions (GGA-PBE); Cu Kα X-rays).
Intensities are scaled so that the largest is 100.

Main lines, most intense first (10° ≤ 2θ ≤ 80°):
2θ (°)	d/Å	I (rel.)
28.8	3.101	100
35.7	2.518	97
35.7	2.515	95
36.1	2.489	85
29.3	3.051	57
46.8	1.943	50
48.8	1.865	39
41.4	2.180	37
15.7	5.639	28
69.9	1.345	27
45.8	1.982	27
25.1	3.551	27

Structural model:
```
Na3BS3
1.0
5.947 -3.343 0.000
5.947 3.343 0.000
-3.977 0.000 7.458
Na B S
6 2 6
direct
0.000 0.500 0.500
0.122 0.686 0.996
0.314 0.878 0.504
0.500 0.000 0.000
0.686 0.122 0.496
0.878 0.314 0.004
0.422 0.578 0.750
0.578 0.422 0.250
0.143 0.857 0.750
0.307 0.423 0.247
0.423 0.307 0.747
0.577 0.693 0.253
0.693 0.577 0.753
0.857 0.143 0.250
```

***

Copy entry 1 word for word.
Structure and calculated powder diffractogram of Na3BS3 (DFT lattice parameters and positions (GGA-PBE); Cu Kα X-rays).
Intensities are scaled so that the largest is 100.

Main lines, most intense first (10° ≤ 2θ ≤ 80°):
2θ (°)	d/Å	I (rel.)
28.8	3.101	100
35.7	2.518	97
35.7	2.515	95
36.1	2.489	85
29.3	3.051	57
46.8	1.943	50
48.8	1.865	39
41.4	2.180	37
15.7	5.639	28
69.9	1.345	27
45.8	1.982	27
25.1	3.551	27

Structural model:
```
Na3BS3
1.0
5.947 -3.343 0.000
5.947 3.343 0.000
-3.977 0.000 7.458
Na B S
6 2 6
direct
0.000 0.500 0.500
0.122 0.686 0.996
0.314 0.878 0.504
0.500 0.000 0.000
0.686 0.122 0.496
0.878 0.314 0.004
0.422 0.578 0.750
0.578 0.422 0.250
0.143 0.857 0.750
0.307 0.423 0.247
0.423 0.307 0.747
0.577 0.693 0.253
0.693 0.577 0.753
0.857 0.143 0.250
```